Diffraction record for Mg14CoSb. The PXRD pattern is calculated, not measured: it uses DFT lattice parameters and positions (GGA-PBE) and Cu Kα.

Main lines, sorted by position (2θ from 5° to 70°):
8.69 deg, intensity 46; 16.40 deg, intensity 14; 18.59 deg, intensity 22; 33.11 deg, intensity 28; 35.28 deg, intensity 26; 37.66 deg, intensity 100; 49.16 deg, intensity 17; 64.89 deg, intensity 18

Structural model:
abc: 10.177 6.242 6.242
angles: 60.18 90.00 90.00
Sites, in units of the cell vectors:
1 Mg 0.000 0.000 0.000
2 Mg 0.000 0.003 0.499
3 Mg 0.000 0.499 0.003
4 Mg 0.000 0.499 0.499
5 Mg 0.245 0.668 0.668
6 Mg 0.260 0.161 0.161
7 Mg 0.262 0.159 0.680
8 Mg 0.262 0.680 0.159
9 Mg 0.500 0.498 0.998
10 Mg 0.500 0.998 0.498
11 Mg 0.738 0.159 0.680
12 Mg 0.738 0.680 0.159
13 Mg 0.740 0.161 0.161
14 Mg 0.755 0.668 0.668
15 Co 0.500 0.001 0.001
16 Sb 0.500 0.504 0.504